Structure and theoretical PXRD pattern of Pa4Al6O19 (a DFT-relaxed cell (GGA-PBE, Alexandria); Cu Ka).

Principal peaks in the range 2θ from 5° to 70°, in order of falling intensity:
2θ (°)  d (Å)  I_rel
25.07  3.552  100
44.17  2.051  49
32.55  2.751  32
58.07  1.588  29
35.75  2.511  20
14.40  6.152  17
51.46  1.776  15
64.24  1.450  13
53.73  1.706  11
38.73  2.325  9

Crystal structure
```
data_Pa4Al6O19
_symmetry_space_group_name_H-M 'P 1'
_symmetry_Int_Tables_number 1
_cell_length_a 7.5341
_cell_length_b 7.5341
_cell_length_c 7.5341
_cell_angle_alpha 109.47
_cell_angle_beta 109.47
_cell_angle_gamma 109.47
loop_
_symmetry_equiv_pos_as_xyz
'x,y,z'
loop_
_atom_site_label
_atom_site_type_symbol
_atom_site_fract_x
_atom_site_fract_y
_atom_site_fract_z
_atom_site_occupancy
Pa1 Pa 0.0000 0.0000 0.3169 1
Pa2 Pa 0.0000 0.3169 0.0000 1
Pa3 Pa 0.3169 0.0000 0.0000 1
Pa4 Pa 0.6831 0.6831 0.6831 1
Al1 Al 0.1612 0.5000 0.6612 1
Al2 Al 0.3388 0.8388 0.5000 1
Al3 Al 0.5000 0.3388 0.8388 1
Al4 Al 0.5000 0.6612 0.1612 1
Al5 Al 0.6612 0.1612 0.5000 1
Al6 Al 0.8388 0.5000 0.3388 1
O1 O 0.0000 0.0000 0.0000 1
O2 O 0.0000 0.3349 0.3349 1
O3 O 0.0000 0.6651 0.6651 1
O4 O 0.0389 0.7498 0.3672 1
O5 O 0.2502 0.2891 0.6174 1
O6 O 0.2891 0.6174 0.2502 1
O7 O 0.3282 0.7109 0.9611 1
O8 O 0.3349 0.0000 0.3349 1
O9 O 0.3349 0.3349 0.0000 1
O10 O 0.3672 0.0389 0.7498 1
O11 O 0.3826 0.6718 0.6328 1
O12 O 0.6174 0.2502 0.2891 1
O13 O 0.6328 0.3826 0.6718 1
O14 O 0.6651 0.0000 0.6651 1
O15 O 0.6651 0.6651 0.0000 1
O16 O 0.6718 0.6328 0.3826 1
O17 O 0.7109 0.9611 0.3282 1
O18 O 0.7498 0.3672 0.0389 1
O19 O 0.9611 0.3282 0.7109 1
```

***

Structure and theoretical PXRD pattern of BaBeCd (a DFT-relaxed cell (GGA-PBE, Alexandria); Cu Ka).

Principal peaks in the range 2θ from 5° to 70°, in order of falling intensity:
2θ (°)  d (Å)  I_rel
24.81  3.589  100
35.37  2.538  88
57.41  1.605  38
63.49  1.465  31
43.68  2.072  29
50.88  1.795  15
21.44  4.144  1
41.73  2.164  1

Crystal structure
```
data_BaBeCd
_symmetry_space_group_name_H-M 'P 1'
_symmetry_Int_Tables_number 1
_cell_length_a 7.1785
_cell_length_b 7.1785
_cell_length_c 7.1785
_cell_angle_alpha 90.00
_cell_angle_beta 90.00
_cell_angle_gamma 90.00
loop_
_symmetry_equiv_pos_as_xyz
'x,y,z'
loop_
_atom_site_label
_atom_site_type_symbol
_atom_site_fract_x
_atom_site_fract_y
_atom_site_fract_z
_atom_site_occupancy
Ba1 Ba 0.0000 0.0000 0.0000 1
Ba2 Ba 0.0000 0.5000 0.5000 1
Ba3 Ba 0.5000 0.0000 0.5000 1
Ba4 Ba 0.5000 0.5000 0.0000 1
Be1 Be 0.2500 0.2500 0.7500 1
Be2 Be 0.2500 0.7500 0.2500 1
Be3 Be 0.7500 0.2500 0.2500 1
Be4 Be 0.7500 0.7500 0.7500 1
Cd1 Cd 0.0000 0.0000 0.5000 1
Cd2 Cd 0.0000 0.5000 0.0000 1
Cd3 Cd 0.5000 0.0000 0.0000 1
Cd4 Cd 0.5000 0.5000 0.5000 1
```

***

Structure and theoretical PXRD pattern of NdTm4Tl (a DFT-relaxed cell (GGA-PBE, Alexandria); Cu Ka).

Principal peaks in the range 2θ from 5° to 70°, in order of falling intensity:
2θ (°)  d (Å)  I_rel
31.47  2.843  100
35.57  2.524  38
61.33  1.512  30
53.26  1.720  19
51.18  1.785  14
38.30  2.350  12
6.27  14.099  11
65.69  1.421  10
65.02  1.435  8
35.80  2.508  5

Crystal structure
```
data_NdTm4Tl
_symmetry_space_group_name_H-M 'P 1'
_symmetry_Int_Tables_number 1
_cell_length_a 3.5698
_cell_length_b 3.5698
_cell_length_c 14.0990
_cell_angle_alpha 90.00
_cell_angle_beta 90.00
_cell_angle_gamma 90.00
loop_
_symmetry_equiv_pos_as_xyz
'x,y,z'
loop_
_atom_site_label
_atom_site_type_symbol
_atom_site_fract_x
_atom_site_fract_y
_atom_site_fract_z
_atom_site_occupancy
Nd1 Nd 0.0000 0.0000 0.0000 1
Tm1 Tm 0.0000 0.0000 0.3514 1
Tm2 Tm 0.0000 0.0000 0.6486 1
Tm3 Tm 0.5000 0.5000 0.1800 1
Tm4 Tm 0.5000 0.5000 0.8200 1
Tl1 Tl 0.5000 0.5000 0.5000 1
```

***

Structure and theoretical PXRD pattern of Pm2Dy2S5 (a DFT-relaxed cell (GGA-PBE, Alexandria); Cu Ka).

Principal peaks in the range 2θ from 5° to 70°, in order of falling intensity:
2θ (°)  d (Å)  I_rel
27.11  3.290  100
34.59  2.593  33
24.33  3.658  33
44.56  2.033  31
24.21  3.676  30
40.20  2.243  22
44.42  2.040  19
49.53  1.840  17
36.09  2.489  16
50.80  1.797  14

Crystal structure
```
data_Pm2Dy2S5
_symmetry_space_group_name_H-M 'P 1'
_symmetry_Int_Tables_number 1
_cell_length_a 9.9667
_cell_length_b 9.9667
_cell_length_c 9.9667
_cell_angle_alpha 62.71
_cell_angle_beta 136.93
_cell_angle_gamma 136.71
loop_
_symmetry_equiv_pos_as_xyz
'x,y,z'
loop_
_atom_site_label
_atom_site_type_symbol
_atom_site_fract_x
_atom_site_fract_y
_atom_site_fract_z
_atom_site_occupancy
Pm1 Pm 0.0159 0.1040 0.1198 1
Pm2 Pm 0.0159 0.3960 0.4119 1
Pm3 Pm 0.9841 0.6040 0.5881 1
Pm4 Pm 0.9841 0.8960 0.8802 1
Dy1 Dy 0.4415 0.4415 0.0000 1
Dy2 Dy 0.4415 0.9415 0.5000 1
Dy3 Dy 0.5123 0.8068 0.2055 1
Dy4 Dy 0.6013 0.3068 0.7945 1
S1 S 0.0424 0.6640 0.8784 1
S2 S 0.2175 0.0024 0.5045 1
S3 S 0.2175 0.2130 0.7150 1
S4 S 0.4960 0.1510 0.2312 1
S5 S 0.4960 0.7648 0.8450 1
S6 S 0.4979 0.5024 0.2850 1
S7 S 0.4979 0.7130 0.4955 1
S8 S 0.7856 0.1640 0.1216 1
S9 S 0.9198 0.2648 0.7688 1
S10 S 0.9198 0.6510 0.1550 1
```

***

Structure and theoretical PXRD pattern of Li17Cl5O6 (a DFT-relaxed cell (GGA-PBE, Alexandria); Cu Ka).

Principal peaks in the range 2θ from 5° to 70°, in order of falling intensity:
2θ (°)  d (Å)  I_rel
32.19  2.781  100
5.30  16.677  52
33.02  2.713  44
47.40  1.918  30
58.45  1.579  23
40.05  2.251  22
44.91  2.018  14
67.32  1.391  12
10.61  8.338  11
56.87  1.619  11

Crystal structure
```
data_Li17Cl5O6
_symmetry_space_group_name_H-M 'P 1'
_symmetry_Int_Tables_number 1
_cell_length_a 5.5705
_cell_length_b 3.8365
_cell_length_c 16.6983
_cell_angle_alpha 90.00
_cell_angle_beta 92.92
_cell_angle_gamma 90.00
loop_
_symmetry_equiv_pos_as_xyz
'x,y,z'
loop_
_atom_site_label
_atom_site_type_symbol
_atom_site_fract_x
_atom_site_fract_y
_atom_site_fract_z
_atom_site_occupancy
Li1 Li 0.0000 0.0000 0.0000 1
Li2 Li 0.0034 0.0000 0.1669 1
Li3 Li 0.0398 0.0000 0.3338 1
Li4 Li 0.2188 0.5000 0.5809 1
Li5 Li 0.2292 0.5000 0.9095 1
Li6 Li 0.2772 0.5000 0.2417 1
Li7 Li 0.4412 0.0000 0.8209 1
Li8 Li 0.4838 0.0000 0.6458 1
Li9 Li 0.5046 0.0000 0.1592 1
Li10 Li 0.5088 0.0000 0.9898 1
Li11 Li 0.5712 0.0000 0.3218 1
Li12 Li 0.6991 0.5000 0.7438 1
Li13 Li 0.7511 0.5000 0.0789 1
Li14 Li 0.7548 0.5000 0.4261 1
Li15 Li 0.9137 0.0000 0.5172 1
Li16 Li 0.9497 0.0000 0.8355 1
Li17 Li 0.9782 0.0000 0.6764 1
Cl1 Cl 0.1982 0.5000 0.7578 1
Cl2 Cl 0.2497 0.5000 0.0915 1
Cl3 Cl 0.6787 0.5000 0.5740 1
Cl4 Cl 0.7301 0.5000 0.9174 1
Cl5 Cl 0.7733 0.5000 0.2435 1
O1 O 0.1780 0.0000 0.5895 1
O2 O 0.2290 0.0000 0.9172 1
O3 O 0.2792 0.0000 0.2562 1
O4 O 0.7022 0.0000 0.7460 1
O5 O 0.7514 0.0000 0.0804 1
O6 O 0.8022 0.0000 0.4075 1
```

***

Structure and theoretical PXRD pattern of La4SmY4 (a DFT-relaxed cell (GGA-PBE, Alexandria); Cu Ka).

Principal peaks in the range 2θ from 5° to 70°, in order of falling intensity:
2θ (°)  d (Å)  I_rel
29.88  2.990  100
29.98  2.981  99
34.61  2.591  67
59.22  1.560  35
34.85  2.574  33
49.76  1.833  24
49.84  1.830  24
50.04  1.823  23
59.09  1.563  14
59.49  1.554  14

Crystal structure
```
data_La4SmY4
_symmetry_space_group_name_H-M 'P 1'
_symmetry_Int_Tables_number 1
_cell_length_a 6.3060
_cell_length_b 9.6905
_cell_length_c 10.9710
_cell_angle_alpha 100.87
_cell_angle_beta 106.41
_cell_angle_gamma 96.17
loop_
_symmetry_equiv_pos_as_xyz
'x,y,z'
loop_
_atom_site_label
_atom_site_type_symbol
_atom_site_fract_x
_atom_site_fract_y
_atom_site_fract_z
_atom_site_occupancy
La1 La 0.2474 0.4143 0.0271 1
La2 La 0.2494 0.7497 0.2507 1
La3 La 0.2500 0.0829 0.1391 1
La4 La 0.2516 0.7501 0.5837 1
La5 La 0.7484 0.2499 0.4163 1
La6 La 0.7500 0.9171 0.8609 1
La7 La 0.7506 0.2503 0.7493 1
La8 La 0.7526 0.5857 0.9729 1
Sm1 Sm 0.2476 0.0828 0.8032 1
Sm2 Sm 0.7524 0.9172 0.1968 1
Y1 Y 0.2480 0.7482 0.9158 1
Y2 Y 0.2495 0.4180 0.6920 1
Y3 Y 0.2499 0.0835 0.4736 1
Y4 Y 0.2507 0.4169 0.3631 1
Y5 Y 0.7493 0.5831 0.6369 1
Y6 Y 0.7501 0.9165 0.5264 1
Y7 Y 0.7505 0.5820 0.3080 1
Y8 Y 0.7520 0.2518 0.0842 1
```

***

Structure and theoretical PXRD pattern of NaNiAs2Ru (a DFT-relaxed cell (GGA-PBE, Alexandria); Cu Ka).

Principal peaks in the range 2θ from 5° to 70°, in order of falling intensity:
2θ (°)  d (Å)  I_rel
14.22  6.227  100
43.99  2.058  72
31.56  2.834  53
35.77  2.510  45
46.84  1.940  42
24.03  3.704  32
55.52  1.655  26
57.58  1.601  18
49.20  1.852  16
68.40  1.372  13

Crystal structure
```
data_NaNiAs2Ru
_symmetry_space_group_name_H-M 'P 1'
_symmetry_Int_Tables_number 1
_cell_length_a 3.8793
_cell_length_b 3.8793
_cell_length_c 12.4547
_cell_angle_alpha 90.00
_cell_angle_beta 90.00
_cell_angle_gamma 90.00
loop_
_symmetry_equiv_pos_as_xyz
'x,y,z'
loop_
_atom_site_label
_atom_site_type_symbol
_atom_site_fract_x
_atom_site_fract_y
_atom_site_fract_z
_atom_site_occupancy
Na1 Na 0.0000 0.0000 0.0000 1
Na2 Na 0.5000 0.5000 0.5000 1
Ni1 Ni 0.0000 0.5000 0.2500 1
Ni2 Ni 0.5000 0.0000 0.7500 1
As1 As 0.0000 0.0000 0.3644 1
As2 As 0.0000 0.0000 0.6356 1
As3 As 0.5000 0.5000 0.1356 1
As4 As 0.5000 0.5000 0.8644 1
Ru1 Ru 0.0000 0.5000 0.7500 1
Ru2 Ru 0.5000 0.0000 0.2500 1
```

***

Structure and theoretical PXRD pattern of Li2ZrZn (a DFT-relaxed cell (GGA-PBE, Alexandria); Cu Ka).

Principal peaks in the range 2θ from 5° to 70°, in order of falling intensity:
2θ (°)  d (Å)  I_rel
17.34  5.114  100
37.66  2.389  54
36.21  2.480  47
43.02  2.102  36
46.72  1.944  23
35.10  2.557  22
67.04  1.396  14
55.64  1.652  13
60.75  1.525  12
64.18  1.451  11

Crystal structure
```
data_Li2ZrZn
_symmetry_space_group_name_H-M 'P 1'
_symmetry_Int_Tables_number 1
_cell_length_a 2.9024
_cell_length_b 2.9024
_cell_length_c 30.6832
_cell_angle_alpha 90.00
_cell_angle_beta 90.00
_cell_angle_gamma 120.00
loop_
_symmetry_equiv_pos_as_xyz
'x,y,z'
loop_
_atom_site_label
_atom_site_type_symbol
_atom_site_fract_x
_atom_site_fract_y
_atom_site_fract_z
_atom_site_occupancy
Li1 Li 0.0000 0.0000 0.2435 1
Li2 Li 0.0000 0.0000 0.7565 1
Li3 Li 0.3333 0.6667 0.4232 1
Li4 Li 0.3333 0.6667 0.9101 1
Li5 Li 0.6667 0.3333 0.0899 1
Li6 Li 0.6667 0.3333 0.5768 1
Zr1 Zr 0.0000 0.0000 0.0000 1
Zr2 Zr 0.3333 0.6667 0.6667 1
Zr3 Zr 0.6667 0.3333 0.3333 1
Zn1 Zn 0.0000 0.0000 0.5000 1
Zn2 Zn 0.3333 0.6667 0.1667 1
Zn3 Zn 0.6667 0.3333 0.8333 1
```